Theoretical powder XRD pattern
Compound: YSc2MoO8
Radiation: Cu Kα X-rays
Structure: a GGA+U-relaxed structure
No peak broadening, texture or thermal motion is included.

Largest 10 diffraction maxima, most intense first, 5° ≤ 2θ ≤ 70°:
two_theta, intensity
32.90, 100
25.81, 76
25.94, 74
50.20, 48
50.34, 48
18.22, 39
63.98, 32
37.81, 27
62.68, 21
36.92, 21

Cell: 4.870 4.870 6.568 Å, 90.00 90.00 90.28°
Fractional positions:
Y 0.000 0.000 0.000
Sc 0.500 0.500 0.250
Sc 0.500 0.500 0.750
Mo 0.000 0.000 0.500
O 0.193 0.807 0.286
O 0.193 0.807 0.714
O 0.287 0.287 0.500
O 0.319 0.319 0.000
O 0.681 0.681 0.000
O 0.713 0.713 0.500
O 0.807 0.193 0.286
O 0.807 0.193 0.714